Simulated X-ray powder pattern of FeCu2TeO8 for Cu Kα, from a cell relaxed with PBE+U.

Peak list (6 most intense, 2θ from 10° to 80°, low angle first)
- (1 0 1), 2θ 19.38, 4.581 Å, rel. 18
- (2 0 0), 2θ 27.89, 3.199 Å, rel. 100
- (1 1 2), 2θ 33.74, 2.656 Å, rel. 77
- (2 2 0), 2θ 39.86, 2.262 Å, rel. 17
- (3 1 2), 2θ 53.19, 1.722 Å, rel. 65
- (3 3 2), 2θ 68.48, 1.370 Å, rel. 20

Structural model:
```
data_FeCu2TeO8
_symmetry_space_group_name_H-M 'I -4 m 2'
_symmetry_Int_Tables_number 119
_symmetry_space_group_name_Hall 'I -4 -2'
_cell_length_a 6.397
_cell_length_b 6.397
_cell_length_c 6.563
_cell_angle_alpha 90.00
_cell_angle_beta 90.00
_cell_angle_gamma 90.00
loop_
_atom_site_label
_atom_site_fract_x
_atom_site_fract_y
_atom_site_fract_z
Fe1 0.000 0.000 0.000
Cu1 0.000 0.000 0.500
Cu2 0.000 0.500 0.750
Te1 0.000 0.500 0.250
O1 0.000 0.190 0.287
O2 0.000 0.318 0.968
```